This entry pairs a crystal structure of CaSmMgGe with its theoretical X-ray diffraction stick pattern. Radiation: Cu Ka. Structure: a crystal structure in Alexandria, relaxed with PBE.
No peak broadening, texture or thermal motion is included.

Structure:
```
data_CaSmMgGe
_symmetry_space_group_name_H-M 'F -4 3 m'
_symmetry_Int_Tables_number 216
_symmetry_space_group_name_Hall 'F -4 2 3'
_cell_length_a 7.416
_cell_length_b 7.416
_cell_length_c 7.416
_cell_angle_alpha 90.00
_cell_angle_beta 90.00
_cell_angle_gamma 90.00
loop_
_atom_site_label
_atom_site_type_symbol
_atom_site_fract_x
_atom_site_fract_y
_atom_site_fract_z
_atom_site_occupancy
Ca1 Ca 0.000 0.000 0.000 1
Sm1 Sm 0.000 0.000 0.500 1
Mg1 Mg 0.250 0.250 0.250 1
Ge1 Ge 0.250 0.250 0.750 1
```

Main lines, in order of rising 2θ (10 to 90 degrees two-theta):
| h k l | two_theta | intensity |
| --- | --- | --- |
| 1 1 1 | 20.7 | 37 |
| 2 0 0 | 24.0 | 12 |
| 2 2 0 | 34.2 | 100 |
| 3 1 1 | 40.3 | 21 |
| 4 0 0 | 49.1 | 18 |
| 3 3 1 | 53.9 | 9 |
| 4 2 2 | 61.2 | 36 |
| 5 1 1 | 65.4 | 7 |
| 4 4 0 | 72.0 | 11 |
| 6 2 0 | 82.2 | 15 |